Mn3GeC: simulated powder diffraction line list (λ = 1.5418 Å (Cu Kα)), based on a cell relaxed with PBE.

```
data_Mn3GeC
_cell_length_a 3.7934
_cell_length_b 3.7934
_cell_length_c 3.7934
_cell_angle_alpha 90.00
_cell_angle_beta 90.00
_cell_angle_gamma 90.00
_space_group_name_H-M_alt 'P m -3 m'
_space_group_IT_number 221
_space_group_name_Hall '-P 4 2 3'
loop_
_atom_site_label
_atom_site_fract_x
_atom_site_fract_y
_atom_site_fract_z
_atom_site_occupancy
Mn1 0.0000 0.0000 0.5000 1
Ge1 0.5000 0.5000 0.5000 1
C1 0.0000 0.0000 0.0000 1
```

Main lines, low angle first (2θ = 10–90°):
| d [Å] | I/Imax | (hkl) |
| --- | --- | --- |
| 2.682 | 4 | 1 1 0 |
| 2.190 | 100 | 1 1 1 |
| 1.897 | 55 | 2 0 0 |
| 1.549 | 2 | 2 1 1 |
| 1.341 | 32 | 2 2 0 |
| 1.200 | 1 | 3 1 0 |
| 1.144 | 33 | 3 1 1 |
| 1.095 | 11 | 2 2 2 |

Cu27Se20: simulated powder diffraction line list (λ = 1.5418 Å (Cu Kα)), based on a cell relaxed with PBE.

```
data_Cu27Se20
_cell_length_a 4.0222
_cell_length_b 4.0222
_cell_length_c 194.8203
_cell_angle_alpha 90.00
_cell_angle_beta 90.00
_cell_angle_gamma 120.00
_space_group_name_H-M_alt 'R 3 m'
_space_group_IT_number 160
_space_group_name_Hall 'R 3 -2"'
loop_
_atom_site_label
_atom_site_fract_x
_atom_site_fract_y
_atom_site_fract_z
_atom_site_occupancy
Cu1 0.0000 0.0000 0.0000 1
Cu2 0.0000 0.0000 0.0250 1
Cu3 0.0000 0.0000 0.0501 1
Cu4 0.0000 0.0000 0.0998 1
Cu5 0.0000 0.0000 0.1498 1
Cu6 0.0000 0.0000 0.2000 1
Cu7 0.0000 0.0000 0.2250 1
Cu8 0.0000 0.0000 0.2495 1
Cu9 0.0000 0.0000 0.2747 1
Cu10 0.0000 0.0000 0.3005 1
Cu11 0.0000 0.0000 0.3249 1
Cu12 0.0000 0.0000 0.3495 1
Cu13 0.0000 0.0000 0.3997 1
Cu14 0.0000 0.0000 0.4498 1
Cu15 0.0000 0.0000 0.4997 1
Cu16 0.0000 0.0000 0.5249 1
Cu17 0.0000 0.0000 0.5495 1
Cu18 0.0000 0.0000 0.5993 1
Cu19 0.0000 0.0000 0.6250 1
Cu20 0.0000 0.0000 0.6495 1
Cu21 0.0000 0.0000 0.7000 1
Cu22 0.0000 0.0000 0.7497 1
Cu23 0.0000 0.0000 0.7997 1
Cu24 0.0000 0.0000 0.8491 1
Cu25 0.0000 0.0000 0.9000 1
Cu26 0.0000 0.0000 0.9245 1
Cu27 0.0000 0.0000 0.9498 1
Se1 0.0000 0.0000 0.0375 1
Se2 0.0000 0.0000 0.0872 1
Se3 0.0000 0.0000 0.1372 1
Se4 0.0000 0.0000 0.1869 1
Se5 0.0000 0.0000 0.2374 1
Se6 0.0000 0.0000 0.2873 1
Se7 0.0000 0.0000 0.3374 1
Se8 0.0000 0.0000 0.3872 1
Se9 0.0000 0.0000 0.4372 1
Se10 0.0000 0.0000 0.4872 1
Se11 0.0000 0.0000 0.5374 1
Se12 0.0000 0.0000 0.5868 1
Se13 0.0000 0.0000 0.6373 1
Se14 0.0000 0.0000 0.6869 1
Se15 0.0000 0.0000 0.7372 1
Se16 0.0000 0.0000 0.7872 1
Se17 0.0000 0.0000 0.8370 1
Se18 0.0000 0.0000 0.8868 1
Se19 0.0000 0.0000 0.9372 1
Se20 0.0000 0.0000 0.9868 1
```

Main lines, low angle first (2θ = 10–90°):
| d [Å] | I/Imax | (hkl) |
| --- | --- | --- |
| 3.280 | 100 | 0 1 20 |
| 3.247 | 33 | 0 0 60 |
| 2.011 | 90 | 1 1 0 |
| 1.996 | 85 | 0 1 80 |
| 1.714 | 15 | 2 0 20 |
| 1.710 | 29 | 1 1 60 |
| 1.700 | 14 | 1 0 100 |
| 1.417 | 26 | 2 0 80 |
| 1.161 | 14 | 3 0 0 |
| 1.158 | 27 | 1 2 80 |

CsPSe6: simulated powder diffraction line list (λ = 1.5418 Å (Cu Kα)), based on a cell relaxed with PBE.

```
data_CsPSe6
_cell_length_a 7.1612
_cell_length_b 13.0136
_cell_length_c 13.3952
_cell_angle_alpha 90.00
_cell_angle_beta 120.52
_cell_angle_gamma 90.00
_space_group_name_H-M_alt 'P 1 c 1'
_space_group_IT_number 7
_space_group_name_Hall 'P -2yc'
loop_
_atom_site_label
_atom_site_fract_x
_atom_site_fract_y
_atom_site_fract_z
_atom_site_occupancy
Cs1 0.0000 0.0044 0.0000 1
Cs2 0.5262 0.4737 0.7506 1
P1 0.0264 0.3474 0.2506 1
P2 0.0266 0.1612 0.7509 1
Se1 0.0250 0.2637 0.8912 1
Se2 0.0275 0.2626 0.6097 1
Se3 0.1699 0.4342 0.4117 1
Se4 0.2709 0.2469 0.2330 1
Se5 0.3276 0.0760 0.8181 1
Se6 0.3867 0.3299 0.9754 1
Se7 0.4598 0.1769 0.4256 1
Se8 0.5906 0.1768 0.0762 1
Se9 0.6664 0.3297 0.5258 1
Se10 0.7238 0.0767 0.6823 1
Se11 0.7819 0.2468 0.2682 1
Se12 0.8824 0.4341 0.0895 1
```

Main lines, low angle first (2θ = 10–90°):
| d [Å] | I/Imax | (hkl) |
| --- | --- | --- |
| 4.411 | 40 | 1 2 -2 |
| 3.710 | 35 | 1 3 -1 |
| 3.451 | 100 | 2 1 -2 |
| 3.240 | 92 | 1 1 -4 |
| 3.139 | 29 | 2 2 -2 |
| 3.036 | 56 | 1 2 2 |
| 2.879 | 62 | 0 3 3 |
| 2.860 | 36 | 1 4 -2 |
| 2.699 | 31 | 2 3 -1 |
| 1.758 | 44 | 2 6 -4 |

InRhO3: simulated powder diffraction line list (λ = 1.5418 Å (Cu Kα)), based on a cell relaxed with PBE.

```
data_InRhO3
_cell_length_a 7.7086
_cell_length_b 7.7086
_cell_length_c 10.7916
_cell_angle_alpha 90.00
_cell_angle_beta 134.23
_cell_angle_gamma 90.00
_space_group_name_H-M_alt 'P 1 21/c 1'
_space_group_IT_number 14
_space_group_name_Hall '-P 2ybc'
loop_
_atom_site_label
_atom_site_fract_x
_atom_site_fract_y
_atom_site_fract_z
_atom_site_occupancy
In1 0.0465 0.2342 0.2760 1
In2 0.4504 0.7448 0.7307 1
Rh1 0.0000 0.0000 0.0000 1
Rh2 0.0000 0.0000 0.5000 1
Rh3 0.5000 0.0000 0.0000 1
Rh4 0.5000 0.0000 0.5000 1
O1 0.0722 0.7475 0.9726 1
O2 0.1463 0.5396 0.7487 1
O3 0.2227 0.5961 0.2517 1
O4 0.2819 0.0977 0.5343 1
O5 0.3460 0.0268 0.1024 1
O6 0.4252 0.2493 0.8983 1
```

Main lines, low angle first (2θ = 10–90°):
| d [Å] | I/Imax | (hkl) |
| --- | --- | --- |
| 2.762 | 24 | 2 0 0 |
| 2.727 | 100 | 0 2 2 |
| 2.698 | 25 | 2 0 -4 |
| 1.933 | 11 | 0 0 4 |
| 1.927 | 22 | 0 4 0 |
| 1.580 | 11 | 2 4 0 |
| 1.568 | 11 | 2 4 -4 |
| 1.565 | 12 | 2 2 -6 |
| 1.562 | 12 | 4 2 -6 |
| 1.219 | 10 | 0 6 2 |

Tm3Ru: simulated powder diffraction line list (λ = 1.5418 Å (Cu Kα)), based on a cell relaxed with PBE.

```
data_Tm3Ru
_cell_length_a 7.2500
_cell_length_b 9.0220
_cell_length_c 6.2057
_cell_angle_alpha 90.00
_cell_angle_beta 90.00
_cell_angle_gamma 90.00
_space_group_name_H-M_alt 'P n m a'
_space_group_IT_number 62
_space_group_name_Hall '-P 2ac 2n'
loop_
_atom_site_label
_atom_site_fract_x
_atom_site_fract_y
_atom_site_fract_z
_atom_site_occupancy
Tm1 0.0412 0.2500 0.1333 1
Tm2 0.1760 0.0637 0.6693 1
Ru1 0.1152 0.7500 0.4615 1
```

Main lines, low angle first (2θ = 10–90°):
| d [Å] | I/Imax | (hkl) |
| --- | --- | --- |
| 2.957 | 55 | 2 1 1 |
| 2.853 | 58 | 1 0 2 |
| 2.826 | 72 | 2 2 0 |
| 2.720 | 89 | 1 1 2 |
| 2.706 | 100 | 0 3 1 |
| 2.572 | 78 | 2 2 1 |
| 2.535 | 64 | 1 3 1 |
| 2.253 | 52 | 3 0 1 |
| 1.820 | 39 | 1 2 3 |
| 1.610 | 38 | 3 3 2 |

NdBrO2: simulated powder diffraction line list (λ = 1.5418 Å (Cu Kα)), based on a cell relaxed with PBE.

```
data_NdBrO2
_cell_length_a 5.2028
_cell_length_b 4.4076
_cell_length_c 6.7243
_cell_angle_alpha 90.00
_cell_angle_beta 107.00
_cell_angle_gamma 90.00
_space_group_name_H-M_alt 'P 1 21/m 1'
_space_group_IT_number 11
_space_group_name_Hall '-P 2yb'
loop_
_atom_site_label
_atom_site_fract_x
_atom_site_fract_y
_atom_site_fract_z
_atom_site_occupancy
Nd1 0.1972 0.2500 0.3462 1
Br1 0.2188 0.2500 0.9034 1
O1 0.2519 0.7500 0.5465 1
O2 0.3830 0.7500 0.3744 1
```

Main lines, low angle first (2θ = 10–90°):
| d [Å] | I/Imax | (hkl) |
| --- | --- | --- |
| 3.299 | 100 | 1 1 0 |
| 3.153 | 59 | 1 0 -2 |
| 2.598 | 62 | 0 1 2 |
| 2.488 | 28 | 2 0 0 |
| 2.400 | 22 | 1 0 2 |
| 2.204 | 31 | 0 2 0 |
| 2.166 | 16 | 2 1 0 |
| 2.055 | 32 | 2 1 -2 |
| 1.806 | 23 | 1 2 -2 |
| 1.650 | 15 | 2 2 0 |

K2SnBr6: simulated powder diffraction line list (λ = 1.5418 Å (Cu Kα)), based on a cell relaxed with PBE.

```
data_K2SnBr6
_cell_length_a 10.8141
_cell_length_b 10.8141
_cell_length_c 10.8141
_cell_angle_alpha 90.00
_cell_angle_beta 90.00
_cell_angle_gamma 90.00
_space_group_name_H-M_alt 'F m -3 m'
_space_group_IT_number 225
_space_group_name_Hall '-F 4 2 3'
loop_
_atom_site_label
_atom_site_fract_x
_atom_site_fract_y
_atom_site_fract_z
_atom_site_occupancy
K1 0.2500 0.2500 0.2500 1
Sn1 0.0000 0.0000 0.0000 1
Br1 0.0000 0.0000 0.2449 1
```

Main lines, low angle first (2θ = 10–90°):
| d [Å] | I/Imax | (hkl) |
| --- | --- | --- |
| 6.244 | 39 | 1 1 1 |
| 5.407 | 47 | 2 0 0 |
| 3.122 | 85 | 2 2 2 |
| 2.704 | 100 | 4 0 0 |
| 2.418 | 25 | 4 2 0 |
| 1.912 | 70 | 4 4 0 |
| 1.630 | 33 | 6 2 2 |
| 1.561 | 24 | 4 4 4 |
| 1.209 | 31 | 8 4 0 |
| 1.104 | 24 | 8 4 4 |